# Ho5Sc2Tl
Simulated powder diffraction line list, Cu Kα (weighted mean of Kα1 and Kα2). Input: a GGA-PBE-relaxed structure.
Intensities are scaled so that the largest is 100.

Top 8 peaks for 2θ = 15–90°, by intensity:
two_theta	I_rel
31.7	100
33.3	82
32.1	33
35.5	27
24.4	24
62.9	24
29.7	18
54.2	17

Atomic structure:
```
Ho5Sc2Tl
1.0
-4.2516 4.2516 6.3044
4.2516 -4.2516 6.3044
4.2516 4.2516 -6.3044
Ho Sc Tl
10 4 2
Cartesian
0.0000 0.0000 0.0000 Ho
2.9583 -1.2933 2.0104 Ho
5.5449 -1.2933 4.2940 Ho
5.5449 1.2933 2.0104 Ho
2.9583 1.2933 4.2940 Ho
0.0000 0.0000 6.3044 Ho
1.2933 2.9583 2.0104 Ho
-1.2933 2.9583 4.2940 Ho
-1.2933 5.5449 2.0104 Ho
1.2933 5.5449 4.2940 Ho
3.0558 1.1958 0.0000 Sc
3.0558 -1.1958 6.3044 Sc
1.1958 5.4474 0.0000 Sc
1.1958 3.0558 6.3044 Sc
0.0000 0.0000 3.1522 Tl
0.0000 0.0000 9.4567 Tl
```

---

# Ho2Sc5Tl
Simulated powder diffraction line list, Cu Kα (weighted mean of Kα1 and Kα2). Input: a GGA-PBE-relaxed structure.
Intensities are scaled so that the largest is 100.

Top 8 peaks for 2θ = 15–90°, by intensity:
two_theta	I_rel
33.2	100
38.3	33
66.1	26
55.7	22
18.9	19
27.0	17
38.8	16
66.7	13

Atomic structure:
```
Ho2Sc5Tl
1.0
6.6378 0.0000 0.0000
0.0000 13.2880 0.0000
0.0000 0.0000 4.6383
Ho Sc Tl
4 10 2
Cartesian
1.6215 1.7142 0.0000 Ho
1.6974 8.3581 0.0000 Ho
4.9404 4.9298 0.0000 Ho
5.0163 11.5738 0.0000 Ho
0.0000 0.0000 2.3191 Sc
0.0349 3.4021 2.3191 Sc
1.6018 11.6201 0.0000 Sc
1.7171 4.9761 0.0000 Sc
3.2840 10.0460 2.3191 Sc
3.3189 6.6440 2.3191 Sc
3.3538 3.2419 2.3191 Sc
4.9207 8.3118 0.0000 Sc
5.0360 1.6679 0.0000 Sc
6.6029 9.8859 2.3191 Sc
0.0000 6.6440 2.3191 Tl
3.3189 0.0000 2.3191 Tl
```

---

# HoScTl3
Simulated powder diffraction line list, Cu Kα (weighted mean of Kα1 and Kα2). Input: a GGA-PBE-relaxed structure.
Intensities are scaled so that the largest is 100.

Top 8 peaks for 2θ = 15–90°, by intensity:
two_theta	I_rel
32.0	100
29.2	31
53.6	24
41.2	23
28.4	18
45.8	16
50.4	14
59.3	13

Atomic structure:
```
HoScTl3
1.0
7.2481 0.0000 0.0000
-3.6240 6.2770 0.0000
0.0000 0.0000 6.1222
Ho Sc Tl
2 2 6
Cartesian
0.0000 4.1847 1.5305 Ho
3.6240 2.0923 4.5916 Ho
0.0000 0.0000 0.0000 Sc
0.0000 0.0000 3.0611 Sc
0.0000 2.4533 4.5916 Tl
-1.4994 5.0504 4.5916 Tl
2.1246 1.2266 1.5305 Tl
1.4994 5.0504 4.5916 Tl
5.1235 1.2266 1.5305 Tl
3.6240 3.8237 1.5305 Tl
```

---

# Ho3Sc5Tl2
Simulated powder diffraction line list, Cu Kα (weighted mean of Kα1 and Kα2). Input: a GGA-PBE-relaxed structure.
Intensities are scaled so that the largest is 100.

Top 8 peaks for 2θ = 15–90°, by intensity:
two_theta	I_rel
34.2	100
36.2	99
32.6	69
24.6	62
37.8	57
28.4	52
38.5	46
46.6	45

Atomic structure:
```
Ho3Sc5Tl2
1.0
-3.9111 10.5927 3.2172
3.9111 -10.5927 3.2172
3.9111 10.5927 -3.2172
Ho Sc Tl
6 10 4
Cartesian
5.1778 2.6989 0.0000 Ho
0.0000 0.0000 1.6086 Ho
1.2667 7.8937 0.0000 Ho
2.6443 2.6989 3.2172 Ho
0.0000 0.0000 4.8257 Ho
-1.2667 7.8937 3.2172 Ho
3.9111 7.0457 -1.6086 Sc
2.4878 4.7847 0.0000 Sc
3.9111 0.0000 1.6086 Sc
2.4878 -4.7847 3.2172 Sc
0.0000 3.5470 1.6086 Sc
3.9111 7.0457 1.6086 Sc
1.4233 15.3774 0.0000 Sc
0.0000 10.5927 1.6086 Sc
1.4233 5.8079 3.2172 Sc
0.0000 3.5470 4.8257 Sc
2.0751 1.7982 0.0000 Tl
2.0751 -1.7982 3.2172 Tl
1.8359 12.3908 0.0000 Tl
1.8359 8.7945 3.2172 Tl
```

---

# Ho2TmSc3
Simulated powder diffraction line list, Cu Kα (weighted mean of Kα1 and Kα2). Input: a GGA-PBE-relaxed structure.
Intensities are scaled so that the largest is 100.

Top 8 peaks for 2θ = 15–90°, by intensity:
two_theta	I_rel
31.5	100
16.3	96
31.1	70
38.7	56
32.9	56
64.3	50
33.6	44
53.6	42

Atomic structure:
```
Ho2TmSc3
1.0
5.9273 0.0000 0.0000
0.0000 3.4204 0.0000
-1.9803 0.0000 16.3107
Ho Tm Sc
4 2 6
Cartesian
-0.4932 0.8551 5.4438 Ho
1.4817 0.8551 0.0011 Ho
2.4653 2.5653 16.3096 Ho
4.4402 2.5653 10.8670 Ho
1.4816 0.8551 10.8676 Tm
2.4654 2.5653 5.4431 Tm
0.4942 2.5653 2.7393 Sc
0.4976 2.5653 8.1612 Sc
0.4929 2.5653 13.5670 Sc
3.4541 0.8551 2.7438 Sc
3.4494 0.8551 8.1495 Sc
3.4528 0.8551 13.5715 Sc
```

---

# Ho6Tm3Sc
Simulated powder diffraction line list, Cu Kα (weighted mean of Kα1 and Kα2). Input: a GGA-PBE-relaxed structure.
Intensities are scaled so that the largest is 100.

Top 8 peaks for 2θ = 15–90°, by intensity:
two_theta	I_rel
32.3	100
29.6	79
44.3	26
55.9	25
58.0	20
57.5	19
42.3	13
67.5	11

Atomic structure:
```
Ho6Tm3Sc
1.0
4.8071 2.7754 3.8813
-4.8071 2.7754 3.8813
0.0000 -5.5508 3.8813
Ho Tm Sc
6 3 1
Cartesian
-1.6387 -2.7027 3.8813 Ho
-3.2846 0.0893 5.8202 Ho
-1.5213 2.7706 3.8813 Ho
1.5649 -2.8893 5.8202 Ho
3.1600 -0.0678 3.8813 Ho
1.7197 2.7999 5.8202 Ho
0.0000 0.0000 0.2345 Tm
0.0000 0.0000 5.9694 Tm
0.0000 0.0000 9.0049 Tm
0.0000 0.0000 3.1520 Sc
```

---

# Ho3Tm6Sc2
Simulated powder diffraction line list, Cu Kα (weighted mean of Kα1 and Kα2). Input: a GGA-PBE-relaxed structure.
Intensities are scaled so that the largest is 100.

Top 8 peaks for 2θ = 15–90°, by intensity:
two_theta	I_rel
29.4	100
35.5	73
38.7	60
32.1	34
28.2	30
48.6	28
68.1	22
64.5	22

Atomic structure:
```
Ho3Tm6Sc2
1.0
-2.3240 2.3240 15.8082
2.3240 -2.3240 15.8082
2.3240 2.3240 -15.8082
Ho Tm Sc
3 6 2
Cartesian
0.0000 0.0000 0.0000 Ho
0.0000 0.0000 6.3045 Ho
0.0000 0.0000 25.3119 Ho
2.3240 0.0000 3.6861 Tm
0.0000 0.0000 9.7046 Tm
2.3240 0.0000 12.1221 Tm
0.0000 2.3240 3.6861 Tm
0.0000 0.0000 21.9118 Tm
0.0000 2.3240 12.1221 Tm
0.0000 0.0000 14.4206 Sc
0.0000 0.0000 17.1958 Sc
```

---

# Ho11Tm4Sc9
Simulated powder diffraction line list, Cu Kα (weighted mean of Kα1 and Kα2). Input: a GGA-PBE-relaxed structure.
Intensities are scaled so that the largest is 100.

Top 8 peaks for 2θ = 15–90°, by intensity:
two_theta	I_rel
33.7	100
33.5	86
31.2	80
34.6	78
18.4	72
35.5	57
56.3	49
62.5	47

Atomic structure:
```
Ho11Tm4Sc9
1.0
7.8302 -12.6518 0.0000
7.8302 12.6518 0.0000
0.0000 0.0000 3.4673
Ho Tm Sc
11 4 9
Cartesian
0.0000 0.0000 0.0000 Ho
3.4459 4.7025 0.0000 Ho
7.8302 7.8891 0.0000 Ho
3.3198 0.0000 0.0000 Ho
7.8302 3.1080 0.0000 Ho
3.4459 -4.7025 0.0000 Ho
12.2144 4.7025 0.0000 Ho
7.8302 -3.1080 0.0000 Ho
12.3405 0.0000 0.0000 Ho
7.8302 -7.8891 0.0000 Ho
12.2144 -4.7025 0.0000 Ho
5.1261 2.2669 1.7337 Tm
5.1261 -2.2669 1.7337 Tm
10.5342 2.2669 1.7337 Tm
10.5342 -2.2669 1.7337 Tm
1.7196 2.3705 1.7337 Sc
6.1889 5.5075 1.7337 Sc
1.7196 -2.3705 1.7337 Sc
9.4714 5.5075 1.7337 Sc
7.8302 0.0000 1.7337 Sc
6.1889 -5.5075 1.7337 Sc
13.9407 2.3705 1.7337 Sc
9.4714 -5.5075 1.7337 Sc
13.9407 -2.3705 1.7337 Sc
```